Diffraction record for RbGe2BiO6. The powder X-ray diffraction pattern is theoretical, not measured: it uses a crystal structure in Alexandria, relaxed with PBE and a wavelength of 1.5418 Å.
Intensities are scaled so that the largest is 100.

The 10 most intense peaks (2θ from 5° to 70°), in order of rising 2θ:
2θ/deg  Rel. int.  index
11.92  36  1 1 0
16.58  15  2 0 0
18.20  18  1 1 -1
26.45  28  3 1 0
26.63  100  2 2 -1
30.60  27  1 3 -1
30.73  70  2 2 1
31.59  40  0 0 2
33.51  19  4 0 0
54.46  16  1 3 -3

Cell and atoms:
```
data_RbGe2BiO6
_chemical_formula_sum 'Rb4 Ge8 Bi4 O24'
_space_group_name_H-M_alt 'C 1 2/c 1'
_space_group_IT_number 15
_cell_length_a 10.962
_cell_length_b 10.320
_cell_length_c 5.806
_cell_angle_alpha 90.00
_cell_angle_beta 102.64
_cell_angle_gamma 90.00
loop_
_space_group_symop_operation_xyz
'x,y,z'
'-x,-y,-z'
'-x,y,-z+1/2'
'x,-y,z+1/2'
'x+1/2,y+1/2,z'
'-x+1/2,-y+1/2,-z'
'-x+1/2,y+1/2,-z+1/2'
'x+1/2,-y+1/2,z+1/2'
loop_
_atom_site_label
_atom_site_fract_x
_atom_site_fract_y
_atom_site_fract_z
Rb1 0.000 0.179 0.250
Ge1 0.221 0.084 0.791
Bi1 0.000 0.385 0.750
O1 0.114 0.432 0.141
O2 0.156 0.237 0.728
O3 0.159 0.014 0.030
```


Diffraction record for Dy2YSb3. The powder X-ray diffraction pattern is theoretical, not measured: it uses a crystal structure in Alexandria, relaxed with PBE and a wavelength of 1.5418 Å.
Intensities are scaled so that the largest is 100.

The 10 most intense peaks (2θ from 5° to 70°), in order of rising 2θ:
2θ/deg  Rel. int.  index
13.45  1  0 0 2
15.80  2  0 1 1
21.34  1  1 0 1
28.37  1  1 1 2
28.78  100  1 0 3
37.09  1  1 1 4
41.15  76  2 0 0
50.99  27  2 2 0
59.60  13  2 0 6
67.51  34  3 0 3

Cell and atoms:
```
data_Dy2YSb3
_chemical_formula_sum 'Dy4 Y2 Sb6'
_space_group_name_H-M_alt 'I m m m'
_space_group_IT_number 71
_space_group_name_Hall '-I 2 2'
_cell_length_a 4.388
_cell_length_b 6.202
_cell_length_c 13.165
_cell_angle_alpha 90.00
_cell_angle_beta 90.00
_cell_angle_gamma 90.00
loop_
_atom_site_label
_atom_site_fract_x
_atom_site_fract_y
_atom_site_fract_z
Dy1 0.000 0.000 0.167
Y1 0.000 0.000 0.500
Sb1 0.000 0.500 0.167
Sb2 0.000 0.500 0.500
```